Starting from DFT lattice parameters and positions (GGA-PBE), the XRD peak list of La8Ce2Dy was computed for Cu Ka.
Kinematic intensities with the Lorentz-polarization factor, no thermal factor.

Cell lengths 9.6075, 9.6075, 9.6075 Å; angles 145.66, 128.21, 63.62 degrees
Element x y z (fractional)
La (0.1558, 0.1558, 0.0000)
La (0.1565, 0.3589, 0.7976)
La (0.2977, 0.0000, 0.2977)
La (0.4387, 0.6411, 0.7976)
La (0.5613, 0.3589, 0.2024)
La (0.7023, 0.0000, 0.7023)
La (0.8435, 0.6411, 0.2024)
La (0.8442, 0.8442, 0.0000)
Ce (0.2993, 0.7993, 0.5000)
Ce (0.7007, 0.2007, 0.5000)
Dy (0.0000, 0.5000, 0.5000)

Principal peaks in the range 10 to 90 degrees two-theta, in order of falling intensity:
d/Å	intensity
2.867	100
2.835	45
3.082	34
1.643	19
2.721	15
1.515	14